No. 1
Computed powder X-ray diffraction pattern
Compound: DyTcNiGe2
Radiation: Cu Kα (λ = 1.5418 Å)
Structure: a structure optimized by DFT (GGA-PBE)
Peak positions follow from Bragg's law for the DFT cell and can differ from measured ones.

Peak list (12 most intense, 10 to 90 degrees two-theta, by angle)
- 23.36 deg, rel. 11
- 30.89 deg, rel. 14
- 33.97 deg, rel. 75
- 35.52 deg, rel. 100
- 44.24 deg, rel. 57
- 49.30 deg, rel. 27
- 56.92 deg, rel. 34
- 62.66 deg, rel. 18
- 64.36 deg, rel. 18
- 68.38 deg, rel. 20
- 75.72 deg, rel. 21
- 89.59 deg, rel. 15

Structural model:
abc: 4.0944 4.0944 10.3570
angles: 90.00 90.00 90.00
Space group I-4m2 (No. 119)
Unique sites:
Dy1 0.0000 0.0000 0.0000 [2 per cell]
Tc1 0.0000 0.5000 0.7500 [2 per cell]
Ni1 0.0000 0.5000 0.2500 [2 per cell]
Ge1 0.0000 0.0000 0.3760 [4 per cell]

No. 2
Computed powder X-ray diffraction pattern
Compound: PS5Br
Radiation: Cu Kα (λ = 1.5418 Å)
Structure: a structure optimized by DFT (GGA-PBE)
Peak positions follow from Bragg's law for the DFT cell and can differ from measured ones.

Peak list (12 most intense, 10 to 90 degrees two-theta, by angle)
- 16.66 deg, rel. 100
- 18.27 deg, rel. 43
- 20.60 deg, rel. 21
- 21.42 deg, rel. 19
- 22.39 deg, rel. 28
- 23.20 deg, rel. 51
- 24.53 deg, rel. 39
- 24.83 deg, rel. 32
- 27.78 deg, rel. 18
- 29.42 deg, rel. 27
- 30.10 deg, rel. 22
- 47.44 deg, rel. 17

Structural model:
abc: 4.4134 6.0578 9.8495
angles: 94.72 96.59 99.76
Space group P1 (No. 1)
Unique sites:
P1 0.0000 0.0000 0.0000 [1 per cell]
S1 0.1347 0.1681 0.8556 [1 per cell]
S2 0.3280 0.6834 0.6176 [1 per cell]
S3 0.5907 0.4613 0.5403 [1 per cell]
S4 0.7329 0.7173 0.0004 [1 per cell]
S5 0.9525 0.6623 0.4677 [1 per cell]
Br1 0.1828 0.1734 0.2076 [1 per cell]

No. 3
Computed powder X-ray diffraction pattern
Compound: RbNbIn2Cl8
Radiation: Cu Kα (λ = 1.5418 Å)
Structure: a structure optimized by DFT (GGA-PBE)
Peak positions follow from Bragg's law for the DFT cell and can differ from measured ones.

Peak list (12 most intense, 10 to 90 degrees two-theta, by angle)
- 15.09 deg, rel. 100
- 23.02 deg, rel. 31
- 23.08 deg, rel. 31
- 23.48 deg, rel. 40
- 30.23 deg, rel. 82
- 31.01 deg, rel. 37
- 34.36 deg, rel. 22
- 39.45 deg, rel. 17
- 39.88 deg, rel. 26
- 42.36 deg, rel. 16
- 42.47 deg, rel. 21
- 47.56 deg, rel. 20

Structural model:
abc: 6.3628 7.8065 9.1379
angles: 90.15 90.01 112.68
Space group P-1 (No. 2)
Unique sites:
Rb1 0.0000 0.0000 0.0000 [1 per cell]
Nb1 0.0000 0.0000 0.5000 [1 per cell]
In1 0.0019 0.5008 0.2371 [2 per cell]
Cl1 0.2276 0.8199 0.5008 [2 per cell]
Cl2 0.2344 0.2048 0.6861 [2 per cell]
Cl3 0.2362 0.2035 0.3151 [2 per cell]
Cl4 0.2588 0.7074 0.9997 [2 per cell]

No. 4
Computed powder X-ray diffraction pattern
Compound: BaCrSi2Se8
Radiation: Cu Kα (λ = 1.5418 Å)
Structure: a structure optimized by DFT (GGA-PBE)
Peak positions follow from Bragg's law for the DFT cell and can differ from measured ones.

Peak list (12 most intense, 10 to 90 degrees two-theta, by angle)
- 25.46 deg, rel. 15
- 28.92 deg, rel. 50
- 30.57 deg, rel. 100
- 34.97 deg, rel. 89
- 49.22 deg, rel. 43
- 51.36 deg, rel. 33
- 58.09 deg, rel. 13
- 60.01 deg, rel. 28
- 60.94 deg, rel. 16
- 63.65 deg, rel. 13
- 73.88 deg, rel. 11
- 83.66 deg, rel. 12

Structural model:
abc: 6.1632 6.1632 9.2650
angles: 90.00 90.00 120.00
Space group P-3 (No. 147)
Unique sites:
Ba1 0.0000 0.0000 0.0000 [1 per cell]
Cr1 0.0000 0.0000 0.5000 [1 per cell]
Si1 0.3333 0.6667 0.7270 [2 per cell]
Se1 0.0321 0.6978 0.3352 [6 per cell]
Se2 0.3333 0.6667 0.9723 [2 per cell]